This entry pairs a crystal structure of TbNi2Ir with its computed X-ray diffraction stick pattern. Radiation: Cu Kα, 1.54184 Å. Structure: the PBE geometry in Alexandria.
Intensities are scaled so that the largest is 100.

Most intense lines, 15° ≤ 2θ ≤ 90°, by angle:
hkl 0 0 1, 2θ 20.54, rel. 45.5; hkl 0 2 0, 2θ 28.57, rel. 28.0; hkl 2 0 0, 2θ 34.03, rel. 65.0; hkl 0 2 1, 2θ 35.44, rel. 100.0; hkl 2 0 1, 2θ 40.08, rel. 17.1; hkl 0 0 2, 2θ 41.78, rel. 36.8; hkl 2 2 1, 2θ 49.95, rel. 75.3; hkl 2 0 2, 2θ 54.94, rel. 32.7; hkl 2 2 3, 2θ 82.25, rel. 17.5; hkl 4 2 1, 2θ 82.55, rel. 17.3

Cell: 5.269 6.250 4.324 Å, 90.00 90.00 90.00°
Space group Cmmm (No. 65)
Inequivalent atoms, fractional coordinates:
1 Tb 0.000 0.000 0.000
2 Ni 0.000 0.310 0.500
3 Ir 0.000 0.500 0.000